Starting from a DFT-relaxed cell (PBE+U, Alexandria), the powder XRD pattern of AlVGaF6 was simulated for a wavelength of 1.5418 Å.
Peak positions follow from Bragg's law for the DFT cell and can differ from measured ones.

Structure:
Cell: 5.367 9.271 5.521 Å, 90.00 90.19 90.00°
Space group C2 (No. 5)
Inequivalent atoms, fractional coordinates:
Al 0.000 0.000 0.000 (multiplicity 2)
V 0.000 0.334 0.000 (multiplicity 2)
Ga 0.000 0.667 0.500 (multiplicity 2)
F 0.129 0.147 0.187 (multiplicity 4)
F 0.157 0.862 0.187 (multiplicity 4)
F 0.217 0.491 0.187 (multiplicity 4)

Largest 10 diffraction maxima, in order of rising 2θ, 2θ = 15–90°:
hkl, Position (°2θ), I_rel
0 0 1, 16.05, 11
0 2 1, 25.06, 100
1 3 0, 33.44, 16
1 3 -1, 37.29, 14
2 2 1, 42.21, 12
2 0 -2, 47.19, 18
1 3 2, 47.33, 27
3 1 -1, 54.82, 7
1 5 1, 54.96, 15
3 3 0, 59.72, 9